Record 1
BC5: theoretical X-ray powder pattern (CuKα), based on a crystal structure in Alexandria, relaxed with GGA-PBE.
Lines closer than 0.1° are merged.

Crystal structure
Lattice parameters (Å, degrees): 2.526 2.526 11.317 90.00 90.00 90.00
Space group P-4m2 (No. 115)
Unique sites:
B: 0.000 0.000 0.171 (multiplicity 2)
C: 0.000 0.000 0.500 (multiplicity 1)
C: 0.000 0.500 0.264 (multiplicity 2)
C: 0.000 0.500 0.579 (multiplicity 2)
C: 0.000 0.500 0.922 (multiplicity 2)
C: 0.500 0.500 0.000 (multiplicity 1)
C: 0.500 0.500 0.340 (multiplicity 2)

Peak list (8 most intense, 10° ≤ 2θ ≤ 90°, sorted by position)
2θ = 15.66°, rel. 3, hkl 0 0 2
2θ = 23.58°, rel. 3, hkl 0 0 3
2θ = 43.10°, rel. 100, hkl 1 0 3
2θ = 48.30°, rel. 1, hkl 1 0 4
2θ = 72.95°, rel. 26, hkl 1 1 6
2θ = 75.25°, rel. 13, hkl 2 0 0
2θ = 80.07°, rel. 1, hkl 1 1 7
2θ = 86.45°, rel. 8, hkl 1 0 9


Record 2
SrC2: theoretical X-ray powder pattern (CuKα), based on a crystal structure in Alexandria, relaxed with GGA-PBE.
Lines closer than 0.1° are merged.

Crystal structure
Lattice parameters (Å, degrees): 4.126 4.126 6.818 90.00 90.00 90.00
Space group I4/mmm (No. 139)
Unique sites:
Sr: 0.000 0.000 0.000 (multiplicity 2)
C: 0.000 0.000 0.407 (multiplicity 4)

Peak list (10 most intense, 10° ≤ 2θ ≤ 90°, sorted by position)
2θ = 25.23°, rel. 100, hkl 1 0 1
2θ = 26.14°, rel. 47, hkl 0 0 2
2θ = 30.64°, rel. 80, hkl 1 1 0
2θ = 40.70°, rel. 55, hkl 1 1 2
2θ = 43.89°, rel. 28, hkl 2 0 0
2θ = 45.57°, rel. 36, hkl 1 0 3
2θ = 51.29°, rel. 33, hkl 2 1 1
2θ = 51.80°, rel. 27, hkl 2 0 2
2θ = 65.12°, rel. 24, hkl 2 1 3
2θ = 78.49°, rel. 15, hkl 3 1 2


Record 3
Rb2InI5: theoretical X-ray powder pattern (CuKα), based on a crystal structure in Alexandria, relaxed with GGA-PBE.
Lines closer than 0.1° are merged.

Crystal structure
Lattice parameters (Å, degrees): 8.917 8.917 10.322 90.00 90.00 90.00
Space group I4mm (No. 107)
Unique sites:
Rb: 0.000 0.500 0.000 (multiplicity 4)
In: 0.000 0.000 0.296 (multiplicity 2)
I: 0.000 0.000 0.565 (multiplicity 2)
I: 0.226 0.226 0.238 (multiplicity 8)

Peak list (10 most intense, 10° ≤ 2θ ≤ 90°, sorted by position)
2θ = 13.12°, rel. 50, hkl 1 0 1
2θ = 17.18°, rel. 21, hkl 0 0 2
2θ = 26.42°, rel. 100, hkl 2 0 2
2θ = 27.79°, rel. 16, hkl 1 0 3
2θ = 28.31°, rel. 79, hkl 2 2 0
2θ = 37.39°, rel. 18, hkl 3 2 1
2θ = 40.43°, rel. 42, hkl 4 0 0
2θ = 45.15°, rel. 18, hkl 3 2 3
2θ = 45.42°, rel. 24, hkl 2 2 4
2θ = 48.97°, rel. 27, hkl 4 2 2


Record 4
La4Tb3PrS8: theoretical X-ray powder pattern (CuKα), based on a crystal structure in Alexandria, relaxed with GGA-PBE.
Lines closer than 0.1° are merged.

Crystal structure
Lattice parameters (Å, degrees): 8.1089 8.1089 20.0157 90.00 90.00 120.00
Space group R-3m (No. 166, hexagonal axes)
Unique sites:
La: 0.0000 0.0000 0.0000 (multiplicity 3)
La: 0.0000 0.5000 0.0000 (multiplicity 9)
Tb: 0.0000 0.5000 0.5000 (multiplicity 9)
Pr: 0.0000 0.0000 0.5000 (multiplicity 3)
S: 0.0000 0.0000 0.2438 (multiplicity 6)
S: 0.0079 0.5039 0.7545 (multiplicity 18)

Peak list (10 most intense, 10° ≤ 2θ ≤ 90°, sorted by position)
2θ = 26.72°, rel. 19, hkl 0 0 6
2θ = 26.91°, rel. 56, hkl 2 0 2
2θ = 31.12°, rel. 100, hkl 0 2 4
2θ = 44.46°, rel. 36, hkl 2 0 8
2θ = 44.70°, rel. 36, hkl 2 2 0
2θ = 52.85°, rel. 19, hkl 2 2 6
2θ = 55.47°, rel. 19, hkl 4 0 4
2θ = 73.53°, rel. 16, hkl 2 2 12
2θ = 73.88°, rel. 16, hkl 2 4 4
2θ = 82.23°, rel. 12, hkl 4 2 8


- Number 2 is which compound?
  SrC2